Computed powder diffractogram of PmInSn for Cu Kα (λ = 1.5418 Å), from DFT lattice parameters and positions (PBE).
Lines closer than 0.1° are merged.

Crystal structure
abc: 6.060 8.598 6.455
angles: 90.00 90.00 90.00
Space group Cmcm (No. 63)
Symmetry-distinct sites (fractional):
Pm1 0.000 0.174 0.250 (multiplicity 4)
In1 0.000 0.192 0.750 (multiplicity 4)
Sn1 0.000 0.500 0.000 (multiplicity 4)

Largest 6 diffraction maxima, sorted by position, 10 to 90 degrees two-theta:
2θ 29.5, I = 82, (2 0 0); 2θ 33.1, I = 87, (1 1 2); 2θ 34.6, I = 100, (1 3 0); 2θ 34.8, I = 61, (0 2 2); 2θ 46.2, I = 55, (2 2 2); 2θ 68.5, I = 29, (1 3 4)